This entry pairs a crystal structure of Ni3H4 with its calculated powder XRD pattern. Radiation: copper Kα. Structure: a GGA-PBE-relaxed structure.
Neutral-atom scattering factors, no anomalous dispersion.

Main lines, by angle (2θ = 10–90°):
Position (°2θ), I_rel
24.82, 41
35.39, 32
43.71, 100
50.92, 51
57.45, 15
63.53, 11
74.88, 29
80.30, 6
85.63, 4

Structure:
abc: 3.587 3.587 3.587
angles: 90.00 90.00 90.00
Space group Pm-3m (No. 221)
Inequivalent atoms, fractional coordinates:
Ni (0.000, 0.000, 0.500) [3 per cell]
H (0.000, 0.000, 0.000) [1 per cell]
H (0.000, 0.500, 0.500) [3 per cell]

This entry pairs a crystal structure of Ni4H5 with its calculated powder XRD pattern. Radiation: copper Kα. Structure: a GGA-PBE-relaxed structure.
Neutral-atom scattering factors, no anomalous dispersion.

Main lines, by angle (2θ = 10–90°):
Position (°2θ), I_rel
27.14, 10
36.66, 38
38.75, 37
43.55, 72
46.20, 100
63.28, 10
68.78, 24
81.85, 23
86.31, 11
87.49, 17

Structure:
abc: 6.572 6.572 2.642
angles: 90.00 90.00 90.00
Space group I4/m (No. 87)
Inequivalent atoms, fractional coordinates:
Ni (0.073, 0.735, 0.000) [8 per cell]
H (0.000, 0.000, 0.000) [2 per cell]
H (0.097, 0.217, 0.500) [8 per cell]

This entry pairs a crystal structure of Ni5H2 with its calculated powder XRD pattern. Radiation: copper Kα. Structure: a GGA-PBE-relaxed structure.
Neutral-atom scattering factors, no anomalous dispersion.

Main lines, by angle (2θ = 10–90°):
Position (°2θ), I_rel
39.56, 18
40.01, 14
43.34, 48
43.52, 48
44.43, 100
47.31, 14
48.02, 20
48.65, 27
49.24, 19
61.17, 9

Structure:
abc: 11.684 4.175 4.917
angles: 90.00 90.87 90.00
Space group C2/c (No. 15)
Inequivalent atoms, fractional coordinates:
Ni (0.000, 0.043, 0.250) [4 per cell]
Ni (0.097, 0.449, 0.564) [8 per cell]
Ni (0.207, 0.048, 0.155) [8 per cell]
H (0.154, 0.249, 0.855) [8 per cell]

This entry pairs a crystal structure of NiH3 with its calculated powder XRD pattern. Radiation: copper Kα. Structure: a GGA-PBE-relaxed structure.
Neutral-atom scattering factors, no anomalous dispersion.

Main lines, by angle (2θ = 10–90°):
Position (°2θ), I_rel
19.04, 56
30.35, 57
36.07, 100
38.62, 20
43.40, 54
45.66, 28
47.88, 23
49.89, 50
63.08, 30
66.60, 30

Structure:
abc: 4.662 4.662 3.799
angles: 90.00 90.00 90.00
Space group P4_2/m (No. 84)
Inequivalent atoms, fractional coordinates:
Ni (0.120, 0.735, 0.000) [4 per cell]
H (0.070, 0.795, 0.500) [4 per cell]
H (0.215, 0.422, 0.247) [8 per cell]

This entry pairs a crystal structure of NpNiH4 with its calculated powder XRD pattern. Radiation: copper Kα. Structure: a GGA-PBE-relaxed structure.
Neutral-atom scattering factors, no anomalous dispersion.

Main lines, by angle (2θ = 10–90°):
Position (°2θ), I_rel
23.37, 53
27.65, 45
27.90, 74
30.48, 100
33.61, 22
40.63, 22
41.79, 86
47.80, 19
57.10, 20
66.62, 22

Structure:
abc: 3.736 6.395 4.735
angles: 90.00 90.00 90.00
Space group Pmmn (No. 59, origin choice 2)
Inequivalent atoms, fractional coordinates:
Np (0.250, 0.250, 0.184) [2 per cell]
Ni (0.250, 0.750, 0.275) [2 per cell]
H (0.250, 0.250, 0.695) [2 per cell]
H (0.250, 0.584, 0.015) [4 per cell]
H (0.250, 0.750, 0.599) [2 per cell]

This entry pairs a crystal structure of NpNi4H8 with its calculated powder XRD pattern. Radiation: copper Kα. Structure: a GGA-PBE-relaxed structure.
Neutral-atom scattering factors, no anomalous dispersion.

Main lines, by angle (2θ = 10–90°):
Position (°2θ), I_rel
19.31, 59
20.69, 100
34.62, 58
37.04, 24
39.15, 22
39.25, 22
42.10, 75
44.06, 15
55.03, 16
56.64, 16

Structure:
abc: 5.717 9.180 9.204
angles: 90.00 90.00 90.00
Space group Fmmm (No. 69)
Inequivalent atoms, fractional coordinates:
Np (0.000, 0.000, 0.000) [4 per cell]
Ni (0.250, 0.000, 0.250) [8 per cell]
Ni (0.250, 0.250, 0.000) [8 per cell]
H (0.208, 0.127, 0.372) [32 per cell]